[1]
Simulated powder XRD pattern of Pr2PuN4 for Cu Kα X-rays, from the PBE geometry in Alexandria.
Lines closer than 0.1° are merged.

Structure:
Cell: 6.0858 9.9737 3.6033 Å, 90.00 90.00 90.00°
Space group Pbam (No. 55)
Unique sites:
1 Pr 0.0697 0.1771 0.0000
2 Pu 0.0000 0.5000 0.5000
3 N 0.1314 0.6847 0.5000
4 N 0.2228 0.4519 0.0000

The 10 most intense peaks (15 to 90 degrees two-theta), in order of falling intensity:
2θ 30.6, rel. 100; 2θ 30.2, rel. 72; 2θ 42.9, rel. 30; 2θ 29.4, rel. 23; 2θ 54.7, rel. 22; 2θ 60.4, rel. 22; 2θ 17.1, rel. 20; 2θ 39.8, rel. 14; 2θ 53.9, rel. 12; 2θ 50.7, rel. 11



[2]
Simulated powder XRD pattern of PrPuWN4 for Cu Kα X-rays, from the PBE geometry in Alexandria.
Lines closer than 0.1° are merged.

Structure:
Cell: 5.5960 12.5037 5.5876 Å, 90.00 90.00 90.00°
Space group Cmcm (No. 63)
Unique sites:
1 Pr 0.0000 0.1087 0.2500
2 Pu 0.0000 0.3992 0.2500
3 W 0.0000 0.2376 0.7500
4 N 0.0000 0.0833 0.7500
5 N 0.0000 0.4276 0.7500
6 N 0.2500 0.2500 0.0000

The 10 most intense peaks (15 to 90 degrees two-theta), in order of falling intensity:
2θ 31.2, rel. 100; 2θ 32.0, rel. 59; 2θ 56.5, rel. 42; 2θ 45.9, rel. 26; 2θ 55.0, rel. 17; 2θ 43.4, rel. 15; 2θ 75.7, rel. 11; 2θ 65.0, rel. 11; 2θ 76.1, rel. 10; 2θ 42.8, rel. 9